Record 1
Structure and simulated XRD peak list of PrSbS4 (a DFT-relaxed cell (GGA-PBE, Alexandria); CuKα).
Lines closer than 0.1° are merged.

```
data_PrSbS4
_chemical_formula_sum 'Pr4 Sb4 S16'
_symmetry_space_group_name_H-M 'C 1 2/c 1'
_symmetry_Int_Tables_number 15
_symmetry_space_group_name_Hall '-C 2yc'
_cell_length_a 12.8751
_cell_length_b 7.0934
_cell_length_c 7.1629
_cell_angle_alpha 90.00
_cell_angle_beta 114.85
_cell_angle_gamma 90.00
loop_
_atom_site_label
_atom_site_type_symbol
_atom_site_fract_x
_atom_site_fract_y
_atom_site_fract_z
Pr1 Pr 0.0000 0.1963 0.2500
Sb1 Sb 0.2500 0.2500 0.0000
S1 S 0.0904 0.4966 0.0819
S2 S 0.1534 0.0292 0.6468
```

Principal peaks in the range 10° ≤ 2θ ≤ 90°, most intense first:
2θ = 22.12°, d = 4.018 Å, intensity 100.0, (1 1 1)
2θ = 24.59°, d = 3.621 Å, intensity 91.3, (3 1 -1)
2θ = 35.83°, d = 2.506 Å, intensity 62.4, (2 2 -2)
2θ = 39.99°, d = 2.255 Å, intensity 36.4, (4 2 0)
2θ = 36.87°, d = 2.438 Å, intensity 27.9, (2 0 2)
2θ = 41.07°, d = 2.198 Å, intensity 23.4, (1 1 -3)
2θ = 51.59°, d = 1.772 Å, intensity 18.4, (4 0 -4)
2θ = 42.96°, d = 2.105 Å, intensity 18.2, (6 0 -2)
2θ = 25.13°, d = 3.544 Å, intensity 15.2, (2 0 -2)
2θ = 42.49°, d = 2.128 Å, intensity 15.2, (1 3 1)
2θ = 45.35°, d = 2.000 Å, intensity 15.1, (5 1 -3)
2θ = 48.34°, d = 1.883 Å, intensity 14.0, (5 1 1)

Record 2
Structure and simulated XRD peak list of Pr7SbS5 (a DFT-relaxed cell (GGA-PBE, Alexandria); CuKα).
Lines closer than 0.1° are merged.

```
data_Pr7SbS5
_chemical_formula_sum 'Pr28 Sb4 S20'
_symmetry_space_group_name_H-M 'C 1 2/m 1'
_symmetry_Int_Tables_number 12
_symmetry_space_group_name_Hall '-C 2y'
_cell_length_a 13.4877
_cell_length_b 4.1708
_cell_length_c 24.6003
_cell_angle_alpha 90.00
_cell_angle_beta 90.02
_cell_angle_gamma 90.00
loop_
_atom_site_label
_atom_site_type_symbol
_atom_site_fract_x
_atom_site_fract_y
_atom_site_fract_z
Pr1 Pr 0.0220 0.0000 0.2500
Pr2 Pr 0.0912 0.5000 0.3888
Pr3 Pr 0.0917 0.5000 0.1113
Pr4 Pr 0.1364 0.0000 0.5371
Pr5 Pr 0.1361 0.0000 0.9629
Pr6 Pr 0.1805 0.5000 0.6730
Pr7 Pr 0.1800 0.5000 0.8270
Sb1 Sb 0.1976 0.5000 0.2499
S1 S 0.0000 0.5000 0.0000
S2 S 0.0000 0.5000 0.5000
S3 S 0.0454 0.0000 0.8588
S4 S 0.0456 0.0000 0.6413
S5 S 0.2254 0.0000 0.0697
S6 S 0.2253 0.0000 0.4303
```

Principal peaks in the range 10° ≤ 2θ ≤ 90°, most intense first:
2θ = 28.64°, d = 3.117 Å, intensity 100.0, (2 0 7)
2θ = 30.12°, d = 2.967 Å, intensity 98.7, (3 1 2)
2θ = 31.22°, d = 2.865 Å, intensity 62.0, (3 1 -3)
2θ = 26.66°, d = 3.343 Å, intensity 59.3, (1 1 -4)
2θ = 52.82°, d = 1.733 Å, intensity 35.6, (2 2 7)
2θ = 43.39°, d = 2.085 Å, intensity 34.3, (0 2 0)
2θ = 28.83°, d = 3.096 Å, intensity 33.0, (1 1 -5)
2θ = 44.01°, d = 2.057 Å, intensity 27.8, (5 1 5)
2θ = 72.18°, d = 1.309 Å, intensity 21.6, (9 1 7)
2θ = 40.00°, d = 2.254 Å, intensity 20.6, (1 1 9)
2θ = 43.22°, d = 2.093 Å, intensity 20.0, (1 1 -10)
2θ = 44.30°, d = 2.045 Å, intensity 18.9, (6 0 5)

Record 3
Structure and simulated XRD peak list of Pr4SbSe2S (a DFT-relaxed cell (GGA-PBE, Alexandria); CuKα).
Lines closer than 0.1° are merged.

```
data_Pr4SbSe2S
_chemical_formula_sum 'Pr16 Sb4 Se8 S4'
_symmetry_space_group_name_H-M 'I m m a'
_symmetry_Int_Tables_number 74
_symmetry_space_group_name_Hall '-I 2b 2'
_cell_length_a 8.5877
_cell_length_b 8.6538
_cell_length_c 12.2025
_cell_angle_alpha 90.00
_cell_angle_beta 90.00
_cell_angle_gamma 90.00
loop_
_atom_site_label
_atom_site_type_symbol
_atom_site_fract_x
_atom_site_fract_y
_atom_site_fract_z
Pr1 Pr 0.0000 0.0142 0.2454
Pr2 Pr 0.2401 0.2500 0.0078
Sb1 Sb 0.0000 0.0000 0.5000
Se1 Se 0.0000 0.0000 0.0000
Se2 Se 0.2500 0.2500 0.7500
S1 S 0.2500 0.2500 0.2500
```

Principal peaks in the range 10° ≤ 2θ ≤ 90°, most intense first:
2θ = 29.29°, d = 3.049 Å, intensity 100.0, (2 2 0)
2θ = 41.90°, d = 2.156 Å, intensity 49.2, (2 2 4)
2θ = 68.85°, d = 1.364 Å, intensity 21.2, (4 4 4)
2θ = 52.09°, d = 1.756 Å, intensity 12.9, (4 0 4)
2θ = 51.81°, d = 1.765 Å, intensity 12.8, (0 4 4)
2θ = 41.75°, d = 2.163 Å, intensity 12.3, (0 4 0)
2θ = 42.09°, d = 2.147 Å, intensity 12.3, (4 0 0)
2θ = 60.76°, d = 1.524 Å, intensity 11.8, (4 4 0)
2θ = 76.35°, d = 1.247 Å, intensity 11.5, (0 4 8)
2θ = 76.79°, d = 1.241 Å, intensity 7.8, (6 2 4)
2θ = 25.36°, d = 3.511 Å, intensity 7.6, (2 0 2)
2θ = 25.23°, d = 3.529 Å, intensity 7.6, (0 2 2)

Record 4
Structure and simulated XRD peak list of Pr3Tl4SbS8 (a DFT-relaxed cell (GGA-PBE, Alexandria); CuKα).
Lines closer than 0.1° are merged.

```
data_Pr3Tl4SbS8
_chemical_formula_sum 'Pr9 Tl12 Sb3 S24'
_symmetry_space_group_name_H-M 'R -3 m'
_symmetry_Int_Tables_number 166
_symmetry_space_group_name_Hall '-R 3 2"'
_cell_length_a 8.3634
_cell_length_b 8.3634
_cell_length_c 22.4062
_cell_angle_alpha 90.00
_cell_angle_beta 90.00
_cell_angle_gamma 120.00
loop_
_atom_site_label
_atom_site_type_symbol
_atom_site_fract_x
_atom_site_fract_y
_atom_site_fract_z
Pr1 Pr 0.0000 0.5000 0.0000
Tl1 Tl 0.0000 0.0000 0.5000
Tl2 Tl 0.0000 0.5000 0.5000
Sb1 Sb 0.0000 0.0000 0.0000
S1 S 0.0000 0.0000 0.2644
S2 S 0.0080 0.5040 0.7345
```

Principal peaks in the range 10° ≤ 2θ ≤ 90°, most intense first:
2θ = 29.37°, d = 3.041 Å, intensity 100.0, (0 2 4)
2θ = 25.86°, d = 3.446 Å, intensity 61.9, (2 0 2)
2θ = 40.73°, d = 2.216 Å, intensity 38.2, (2 0 8)
2θ = 43.27°, d = 2.091 Å, intensity 35.1, (2 2 0)
2θ = 23.83°, d = 3.734 Å, intensity 26.9, (0 0 6)
2θ = 49.99°, d = 1.824 Å, intensity 23.6, (2 2 6)
2θ = 53.16°, d = 1.723 Å, intensity 18.7, (4 0 4)
2θ = 70.87°, d = 1.330 Å, intensity 15.8, (2 4 4)
2θ = 67.22°, d = 1.393 Å, intensity 15.6, (2 2 12)
2θ = 47.73°, d = 1.905 Å, intensity 15.0, (0 2 10)
2θ = 60.93°, d = 1.521 Å, intensity 11.6, (0 4 8)
2θ = 77.64°, d = 1.230 Å, intensity 11.5, (4 2 8)

Record 5
Structure and simulated XRD peak list of Pr3ScS6 (a DFT-relaxed cell (GGA-PBE, Alexandria); CuKα).
Lines closer than 0.1° are merged.

```
data_Pr3ScS6
_chemical_formula_sum 'Pr6 Sc2 S12'
_symmetry_space_group_name_H-M 'P 1 21/c 1'
_symmetry_Int_Tables_number 14
_symmetry_space_group_name_Hall '-P 2ybc'
_cell_length_a 6.7443
_cell_length_b 7.3553
_cell_length_c 11.9178
_cell_angle_alpha 90.00
_cell_angle_beta 122.55
_cell_angle_gamma 90.00
loop_
_atom_site_label
_atom_site_type_symbol
_atom_site_fract_x
_atom_site_fract_y
_atom_site_fract_z
Pr1 Pr 0.0000 0.0000 0.0000
Pr2 Pr 0.2935 0.0937 0.7546
Sc1 Sc 0.5000 0.0000 0.5000
S1 S 0.1179 0.0538 0.2644
S2 S 0.2683 0.6785 0.0744
S3 S 0.4073 0.1964 0.0740
```

Principal peaks in the range 10° ≤ 2θ ≤ 90°, most intense first:
2θ = 25.52°, d = 3.490 Å, intensity 100.0, (1 1 -3)
2θ = 24.89°, d = 3.577 Å, intensity 99.7, (1 1 1)
2θ = 30.24°, d = 2.956 Å, intensity 43.6, (2 1 -1)
2θ = 26.45°, d = 3.370 Å, intensity 36.8, (2 0 -2)
2θ = 35.75°, d = 2.512 Å, intensity 36.6, (0 0 4)
2θ = 46.49°, d = 1.953 Å, intensity 31.4, (3 1 -5)
2θ = 36.15°, d = 2.485 Å, intensity 31.1, (2 2 -2)
2θ = 45.38°, d = 1.999 Å, intensity 29.9, (3 1 -1)
2θ = 36.28°, d = 2.476 Å, intensity 28.4, (0 2 3)
2θ = 19.74°, d = 4.498 Å, intensity 26.9, (1 1 0)
2θ = 24.20°, d = 3.678 Å, intensity 26.6, (0 2 0)
2θ = 20.13°, d = 4.412 Å, intensity 26.5, (1 1 -2)

Record 6
Structure and simulated XRD peak list of Tb4PrScS8 (a DFT-relaxed cell (GGA-PBE, Alexandria); CuKα).
Lines closer than 0.1° are merged.

```
data_Tb4PrScS8
_chemical_formula_sum 'Tb12 Pr3 Sc3 S24'
_symmetry_space_group_name_H-M 'R 3 m'
_symmetry_Int_Tables_number 160
_symmetry_space_group_name_Hall 'R 3 -2"'
_cell_length_a 8.0407
_cell_length_b 8.0407
_cell_length_c 19.8614
_cell_angle_alpha 90.00
_cell_angle_beta 90.00
_cell_angle_gamma 120.00
loop_
_atom_site_label
_atom_site_type_symbol
_atom_site_fract_x
_atom_site_fract_y
_atom_site_fract_z
Tb1 Tb 0.0000 0.0000 0.0000
Tb2 Tb 0.1712 0.3424 0.2065
Pr1 Pr 0.0000 0.0000 0.3779
Sc1 Sc 0.0000 0.0000 0.7489
S1 S 0.0000 0.0000 0.1335
S2 S 0.0000 0.0000 0.6221
S3 S 0.1680 0.3361 0.4616
S4 S 0.1750 0.3500 0.9519
```

Principal peaks in the range 10° ≤ 2θ ≤ 90°, most intense first:
2θ = 25.95°, d = 3.434 Å, intensity 100.0, (0 2 1)
2θ = 31.38°, d = 2.851 Å, intensity 45.1, (0 2 4)
2θ = 44.84°, d = 2.021 Å, intensity 41.0, (2 0 8)
2θ = 45.10°, d = 2.010 Å, intensity 40.9, (2 2 0)
2θ = 41.18°, d = 2.192 Å, intensity 40.2, (0 3 3)
2θ = 25.82°, d = 3.450 Å, intensity 31.7, (0 1 5)
2θ = 13.47°, d = 6.571 Å, intensity 21.8, (1 0 1)
2θ = 27.14°, d = 3.286 Å, intensity 18.0, (2 0 2)
2θ = 41.04°, d = 2.199 Å, intensity 14.3, (0 2 7)
2θ = 52.73°, d = 1.736 Å, intensity 13.8, (4 0 1)
2θ = 83.06°, d = 1.163 Å, intensity 13.2, (4 2 8)
2θ = 65.48°, d = 1.425 Å, intensity 12.8, (0 4 8)

Record 7
Structure and simulated XRD peak list of PrY2ScS6 (a DFT-relaxed cell (GGA-PBE, Alexandria); CuKα).
Lines closer than 0.1° are merged.

```
data_PrY2ScS6
_chemical_formula_sum 'Pr3 Y6 Sc3 S18'
_symmetry_space_group_name_H-M 'R 3'
_symmetry_Int_Tables_number 146
_symmetry_space_group_name_Hall 'R 3'
_cell_length_a 6.9001
_cell_length_b 6.9001
_cell_length_c 18.4219
_cell_angle_alpha 90.00
_cell_angle_beta 90.00
_cell_angle_gamma 120.00
loop_
_atom_site_label
_atom_site_type_symbol
_atom_site_fract_x
_atom_site_fract_y
_atom_site_fract_z
Pr1 Pr 0.0000 0.0000 0.0000
Y1 Y 0.0000 0.0000 0.2892
Y2 Y 0.0000 0.0000 0.7963
Sc1 Sc 0.0000 0.0000 0.4895
S1 S 0.0163 0.7205 0.3952
S2 S 0.0297 0.3448 0.5585
```

Principal peaks in the range 10° ≤ 2θ ≤ 90°, most intense first:
2θ = 24.40°, d = 3.648 Å, intensity 100.0, (1 0 4)
2θ = 39.28°, d = 2.294 Å, intensity 92.6, (2 -1 6)
2θ = 25.82°, d = 3.450 Å, intensity 79.6, (1 1 0)
2θ = 45.54°, d = 1.992 Å, intensity 62.7, (3 0 0)
2θ = 35.82°, d = 2.507 Å, intensity 54.5, (0 2 4)
2θ = 29.70°, d = 3.008 Å, intensity 54.4, (1 1 3)
2θ = 44.69°, d = 2.028 Å, intensity 51.6, (3 -1 4)
2θ = 17.69°, d = 5.013 Å, intensity 46.6, (0 1 2)
2θ = 51.94°, d = 1.760 Å, intensity 31.0, (1 0 10)
2θ = 15.59°, d = 5.684 Å, intensity 24.1, (1 0 1)
2θ = 61.68°, d = 1.504 Å, intensity 21.8, (2 2 6)
2θ = 79.93°, d = 1.200 Å, intensity 18.8, (5 -1 6)

Record 8
Structure and simulated XRD peak list of Pr4Se4S (a DFT-relaxed cell (GGA-PBE, Alexandria); CuKα).
Lines closer than 0.1° are merged.

```
data_Pr4Se4S
_chemical_formula_sum 'Pr8 Se8 S2'
_symmetry_space_group_name_H-M 'I -4 2 m'
_symmetry_Int_Tables_number 121
_symmetry_space_group_name_Hall 'I -4 2'
_cell_length_a 7.0546
_cell_length_b 7.0546
_cell_length_c 12.6063
_cell_angle_alpha 90.00
_cell_angle_beta 90.00
_cell_angle_gamma 90.00
loop_
_atom_site_label
_atom_site_type_symbol
_atom_site_fract_x
_atom_site_fract_y
_atom_site_fract_z
Pr1 Pr 0.2190 0.2190 0.1306
Se1 Se 0.0000 0.0000 0.2888
Se2 Se 0.0000 0.5000 0.0000
S1 S 0.0000 0.0000 0.0000
```

Principal peaks in the range 10° ≤ 2θ ≤ 90°, most intense first:
2θ = 22.73°, d = 3.912 Å, intensity 100.0, (1 1 2)
2θ = 38.30°, d = 2.350 Å, intensity 44.7, (2 0 4)
2θ = 43.01°, d = 2.103 Å, intensity 29.6, (3 1 2)
2θ = 36.01°, d = 2.494 Å, intensity 29.0, (2 2 0)
2θ = 46.94°, d = 1.936 Å, intensity 16.1, (1 1 6)
2θ = 66.26°, d = 1.411 Å, intensity 11.6, (4 2 4)
2θ = 35.58°, d = 2.523 Å, intensity 11.2, (2 1 3)
2θ = 60.53°, d = 1.530 Å, intensity 9.5, (3 1 6)
2θ = 29.18°, d = 3.061 Å, intensity 8.5, (2 1 1)
2θ = 51.84°, d = 1.764 Å, intensity 8.2, (4 0 0)
2θ = 44.13°, d = 2.052 Å, intensity 6.8, (3 0 3)
2θ = 57.31°, d = 1.608 Å, intensity 6.8, (3 3 2)

Record 9
Structure and simulated XRD peak list of Pr4Se5S (a DFT-relaxed cell (GGA-PBE, Alexandria); CuKα).
Lines closer than 0.1° are merged.

```
data_Pr4Se5S
_chemical_formula_sum 'Pr8 Se10 S2'
_symmetry_space_group_name_H-M 'I m m m'
_symmetry_Int_Tables_number 71
_symmetry_space_group_name_Hall '-I 2 2'
_cell_length_a 4.2910
_cell_length_b 8.0127
_cell_length_c 17.9221
_cell_angle_alpha 90.00
_cell_angle_beta 90.00
_cell_angle_gamma 90.00
loop_
_atom_site_label
_atom_site_type_symbol
_atom_site_fract_x
_atom_site_fract_y
_atom_site_fract_z
Pr1 Pr 0.0000 0.0000 0.2129
Pr2 Pr 0.0000 0.2536 0.5000
Se1 Se 0.0000 0.2592 0.3357
Se2 Se 0.0000 0.5000 0.0000
S1 S 0.0000 0.0000 0.0000
```

Principal peaks in the range 10° ≤ 2θ ≤ 90°, most intense first:
2θ = 30.94°, d = 2.890 Å, intensity 100.0, (1 2 1)
2θ = 39.75°, d = 2.268 Å, intensity 84.3, (1 2 5)
2θ = 25.56°, d = 3.485 Å, intensity 35.4, (1 1 2)
2θ = 41.05°, d = 2.199 Å, intensity 34.1, (1 0 7)
2θ = 29.91°, d = 2.987 Å, intensity 34.0, (0 0 6)
2θ = 19.82°, d = 4.481 Å, intensity 28.5, (0 0 4)
2θ = 42.12°, d = 2.145 Å, intensity 27.7, (2 0 0)
2θ = 18.53°, d = 4.789 Å, intensity 24.9, (0 1 3)
2θ = 21.29°, d = 4.173 Å, intensity 22.4, (1 0 1)
2θ = 37.56°, d = 2.395 Å, intensity 20.8, (0 2 6)
2θ = 45.27°, d = 2.003 Å, intensity 20.8, (0 4 0)
2θ = 24.34°, d = 3.657 Å, intensity 16.4, (0 2 2)